[1]
# NdIn2Rh
Calculated PXRD pattern, Cu Kα, 1.54184 Å. Input: DFT lattice parameters and positions (GGA-PBE).

The 12 most intense peaks (10° ≤ 2θ ≤ 80°), most intense first:
2theta  intensity  (hkl)
35.59  100  2 1 2
31.25  89  4 2 0
33.71  55  2 0 2
36.76  44  6 0 1
40.71  43  2 2 2
31.94  43  3 2 1
38.82  37  2 3 1
35.19  30  4 2 1
42.01  30  7 0 1
29.43  26  2 2 1
68.14  24  2 5 2
58.92  24  4 2 3

Atomic structure:
Lattice parameters (Å, degrees): 16.294 8.044 5.620 90.00 90.00 90.00
Element x y z (fractional)
Nd 0.104 0.250 0.239
Nd 0.141 0.750 0.456
Nd 0.359 0.250 0.956
Nd 0.396 0.750 0.739
Nd 0.604 0.250 0.261
Nd 0.641 0.750 0.044
Nd 0.859 0.250 0.544
Nd 0.896 0.750 0.761
In 0.037 0.051 0.748
In 0.037 0.449 0.748
In 0.214 0.550 0.960
In 0.214 0.950 0.960
In 0.286 0.050 0.460
In 0.286 0.450 0.460
In 0.463 0.551 0.248
In 0.463 0.949 0.248
In 0.537 0.051 0.752
In 0.537 0.449 0.752
In 0.714 0.550 0.540
In 0.714 0.950 0.540
In 0.786 0.050 0.040
In 0.786 0.450 0.040
In 0.963 0.551 0.252
In 0.963 0.949 0.252
Rh 0.072 0.750 0.982
Rh 0.179 0.250 0.729
Rh 0.321 0.750 0.229
Rh 0.428 0.250 0.482
Rh 0.572 0.750 0.518
Rh 0.679 0.250 0.771
Rh 0.821 0.750 0.271
Rh 0.928 0.250 0.018


[2]
# Np2Co3P4Pd
Calculated PXRD pattern, Cu Kα, 1.54184 Å. Input: DFT lattice parameters and positions (GGA-PBE).

The 12 most intense peaks (10° ≤ 2θ ≤ 80°), most intense first:
2theta  intensity  (hkl)
37.44  100  1 1 2
36.91  76  1 0 3
24.37  70  1 0 1
45.63  47  2 0 0
60.07  38  2 1 3
31.83  29  1 1 0
78.90  23  3 1 2
52.40  20  2 1 1
54.76  20  1 0 5
73.96  17  2 1 5
69.58  16  1 1 6
66.52  15  2 2 0

Atomic structure:
Lattice parameters (Å, degrees): 3.976 3.976 9.244 90.00 90.00 90.00
Element x y z (fractional)
Np 0.000 0.500 0.238
Np 0.500 0.000 0.762
Co 0.000 0.500 0.892
Co 0.500 0.000 0.108
Co 0.500 0.500 0.500
P 0.000 0.000 0.000
P 0.000 0.500 0.651
P 0.500 0.000 0.349
P 0.500 0.500 0.000
Pd 0.000 0.000 0.500


[3]
# CsCdGa
Calculated PXRD pattern, Cu Kα, 1.54184 Å. Input: DFT lattice parameters and positions (GGA-PBE).

The 12 most intense peaks (10° ≤ 2θ ≤ 80°), most intense first:
2theta  intensity  (hkl)
25.64  100  1 1 2
26.93  73  0 2 2
30.00  39  0 0 4
45.04  35  2 2 2
38.27  35  1 3 0
49.37  29  1 3 4
35.41  28  2 0 0
47.07  22  2 0 4
29.49  16  1 2 1
47.98  12  1 2 5
63.14  12  1 5 2
57.89  10  3 1 2

Atomic structure:
Lattice parameters (Å, degrees): 5.070 7.964 11.914 90.00 90.00 90.00
Element x y z (fractional)
Cs 0.000 0.000 0.227
Cs 0.000 0.000 0.773
Cs 0.500 0.500 0.273
Cs 0.500 0.500 0.727
Cd 0.000 0.290 0.500
Cd 0.000 0.710 0.500
Cd 0.500 0.210 0.000
Cd 0.500 0.790 0.000
Ga 0.000 0.347 0.000
Ga 0.000 0.653 0.000
Ga 0.500 0.153 0.500
Ga 0.500 0.847 0.500


[4]
# KGePd3
Calculated PXRD pattern, Cu Kα, 1.54184 Å. Input: DFT lattice parameters and positions (GGA-PBE).

The 12 most intense peaks (10° ≤ 2θ ≤ 80°), most intense first:
2theta  intensity  (hkl)
11.05  100  0 0 1
36.61  37  1 2 1
41.66  27  1 2 2
35.33  22  1 1 2
33.57  13  0 0 3
50.72  12  0 4 0
43.69  12  1 1 3
49.36  11  2 0 0
39.15  10  0 3 1
43.96  8  0 3 2
79.99  6  1 5 3
61.01  5  2 0 3

Atomic structure:
Lattice parameters (Å, degrees): 3.693 7.206 8.008 90.00 90.00 90.00
Element x y z (fractional)
K 0.250 0.250 0.032
K 0.750 0.750 0.968
Ge 0.250 0.250 0.466
Ge 0.750 0.750 0.534
Pd 0.250 0.547 0.648
Pd 0.250 0.750 0.318
Pd 0.250 0.953 0.648
Pd 0.750 0.047 0.352
Pd 0.750 0.250 0.682
Pd 0.750 0.453 0.352


Copy entry 2 word for word.
# Np2Co3P4Pd
Calculated PXRD pattern, Cu Kα, 1.54184 Å. Input: DFT lattice parameters and positions (GGA-PBE).

The 12 most intense peaks (10° ≤ 2θ ≤ 80°), most intense first:
2theta  intensity  (hkl)
37.44  100  1 1 2
36.91  76  1 0 3
24.37  70  1 0 1
45.63  47  2 0 0
60.07  38  2 1 3
31.83  29  1 1 0
78.90  23  3 1 2
52.40  20  2 1 1
54.76  20  1 0 5
73.96  17  2 1 5
69.58  16  1 1 6
66.52  15  2 2 0

Atomic structure:
Lattice parameters (Å, degrees): 3.976 3.976 9.244 90.00 90.00 90.00
Element x y z (fractional)
Np 0.000 0.500 0.238
Np 0.500 0.000 0.762
Co 0.000 0.500 0.892
Co 0.500 0.000 0.108
Co 0.500 0.500 0.500
P 0.000 0.000 0.000
P 0.000 0.500 0.651
P 0.500 0.000 0.349
P 0.500 0.500 0.000
Pd 0.000 0.000 0.500


Which formula does entry 2 have?
Np2Co3P4Pd